Diffraction record for Na2V2O5. The powder XRD pattern is computed, not measured: it uses DFT lattice parameters and positions (PBE+U) and Cu Kα X-rays.
Peak positions follow from Bragg's law for the DFT cell and can differ from measured ones.

Peak list (12 most intense, 2θ from 10° to 80°, sorted by position)
- 22.9°, rel. 674, hkl 1 1 -1
- 24.3°, rel. 185, hkl 3 1 0
- 24.5°, rel. 322, hkl 4 0 0
- 32.1°, rel. 382, hkl 0 2 0
- 33.1°, rel. 510, hkl 2 0 -2
- 33.8°, rel. 1000, hkl 3 1 1
- 44.0°, rel. 183, hkl 5 1 1
- 46.8°, rel. 532, hkl 2 2 -2
- 50.2°, rel. 258, hkl 8 0 0
- 58.3°, rel. 168, hkl 5 3 -1
- 59.6°, rel. 224, hkl 7 1 -3
- 71.0°, rel. 173, hkl 10 2 -2

Structure:
abc: 15.513 5.577 5.409
angles: 90.00 110.37 90.00
Space group Cc (No. 9)
Inequivalent atoms, fractional coordinates:
Na  0.000  0.221  0.000 (multiplicity 4)
Na  0.215  0.278  0.214 (multiplicity 4)
V  0.108  0.251  0.618 (multiplicity 4)
V  0.358  0.181  0.816 (multiplicity 4)
O  0.096  0.485  0.847 (multiplicity 4)
O  0.119  0.018  0.393 (multiplicity 4)
O  0.249  0.310  0.775 (multiplicity 4)
O  0.358  0.120  0.472 (multiplicity 4)
O  0.466  0.310  0.992 (multiplicity 4)